Record 1
Calculated powder diffraction line list
Compound: Sr2TlZnN
Radiation: Cu Kα, 1.54184 Å
Structure: a GGA-PBE-relaxed structure
Neutral-atom scattering factors, no anomalous dispersion.

Top 10 peaks for 10 to 80 degrees two-theta, low angle first:
2theta, I/Imax
19.34, 34.9
21.07, 34.4
24.79, 34.6
24.90, 37.5
28.76, 35.6
29.84, 100.0
31.95, 34.8
33.72, 87.3
36.85, 29.2
45.97, 27.0

Structural model:
Cell lengths 7.9478, 3.9482, 9.3134 Å; angles 90.00, 115.13, 90.00 degrees
Space group P2_1/m (No. 11)
Symmetry-distinct sites (fractional):
Sr 0.1887 0.2500 0.3723 (multiplicity 2)
Sr 0.1976 0.7500 0.0134 (multiplicity 2)
Tl 0.4230 0.7500 0.7307 (multiplicity 2)
Zn 0.1677 0.2500 0.7272 (multiplicity 2)
N 0.0114 0.7500 0.1785 (multiplicity 2)

Record 2
Calculated powder diffraction line list
Compound: Sr5U2N6
Radiation: Cu Kα, 1.54184 Å
Structure: a GGA-PBE-relaxed structure
Neutral-atom scattering factors, no anomalous dispersion.

Top 10 peaks for 10 to 80 degrees two-theta, low angle first:
2theta, I/Imax
13.49, 57.0
13.86, 64.8
27.70, 71.2
27.91, 90.1
29.26, 58.6
30.62, 53.2
31.10, 100.0
32.80, 47.6
48.02, 46.8
50.53, 56.0

Structural model:
Cell lengths 12.7761, 13.1308, 3.6957 Å; angles 90.00, 90.00, 90.00 degrees
Space group Pbam (No. 55)
Symmetry-distinct sites (fractional):
Sr 0.0000 0.0000 0.0000 (multiplicity 2)
Sr 0.0072 0.3413 0.0000 (multiplicity 4)
Sr 0.2322 0.7761 0.0000 (multiplicity 4)
U 0.2067 0.5090 0.5000 (multiplicity 4)
N 0.1478 0.6520 0.5000 (multiplicity 4)
N 0.1533 0.3629 0.5000 (multiplicity 4)
N 0.2002 0.9834 0.0000 (multiplicity 4)

Record 3
Calculated powder diffraction line list
Compound: Sr3V2N4
Radiation: Cu Kα, 1.54184 Å
Structure: a GGA-PBE-relaxed structure
Neutral-atom scattering factors, no anomalous dispersion.

Top 10 peaks for 10 to 80 degrees two-theta, low angle first:
2theta, I/Imax
29.24, 57.1
30.64, 100.0
33.73, 37.6
35.86, 14.5
40.35, 31.4
41.87, 56.1
45.26, 19.3
45.81, 14.5
56.32, 11.2
63.78, 16.6

Structural model:
Cell lengths 11.5851, 8.6262, 5.6935 Å; angles 90.00, 92.77, 90.00 degrees
Space group C2/c (No. 15)
Symmetry-distinct sites (fractional):
Sr 0.0000 0.1034 0.2500 (multiplicity 4)
Sr 0.1194 0.3693 0.5467 (multiplicity 8)
V 0.2053 0.1216 0.9200 (multiplicity 8)
N 0.1333 0.3186 0.0247 (multiplicity 8)
N 0.1726 0.0594 0.6038 (multiplicity 8)

Record 4
Calculated powder diffraction line list
Compound: Sr2VN3
Radiation: Cu Kα, 1.54184 Å
Structure: a GGA-PBE-relaxed structure
Neutral-atom scattering factors, no anomalous dispersion.

Top 10 peaks for 10 to 80 degrees two-theta, low angle first:
2theta, I/Imax
27.68, 24.2
28.90, 36.3
29.64, 58.1
31.10, 100.0
32.16, 57.9
32.33, 61.9
33.16, 36.2
35.52, 19.4
39.94, 33.6
64.82, 22.0

Structural model:
Cell lengths 5.7518, 11.0791, 12.3594 Å; angles 90.00, 90.67, 90.00 degrees
Space group C2/c (No. 15)
Symmetry-distinct sites (fractional):
Sr 0.2450 0.1107 0.4226 (multiplicity 8)
Sr 0.2482 0.1973 0.8543 (multiplicity 8)
V 0.2449 0.4973 0.3362 (multiplicity 8)
N 0.0000 0.0230 0.2500 (multiplicity 4)
N 0.0000 0.4495 0.7500 (multiplicity 4)
N 0.2232 0.3391 0.3672 (multiplicity 8)
N 0.2391 0.0895 0.0460 (multiplicity 8)

Record 5
Calculated powder diffraction line list
Compound: Sr3Y3N5
Radiation: Cu Kα, 1.54184 Å
Structure: a GGA-PBE-relaxed structure
Neutral-atom scattering factors, no anomalous dispersion.

Top 10 peaks for 10 to 80 degrees two-theta, low angle first:
2theta, I/Imax
27.82, 22.0
28.55, 12.9
28.93, 53.3
29.48, 100.0
29.64, 24.5
30.35, 20.9
33.12, 22.5
37.33, 13.1
51.63, 22.1
52.63, 15.1

Structural model:
Cell lengths 6.6473, 8.1270, 9.4906 Å; angles 106.23, 108.68, 99.98 degrees
Space group P-1 (No. 2)
Symmetry-distinct sites (fractional):
Sr 0.1702 0.1098 0.2026 (multiplicity 2)
Sr 0.1917 0.3201 0.8805 (multiplicity 2)
Sr 0.2946 0.9370 0.5871 (multiplicity 2)
Y 0.2374 0.4591 0.5678 (multiplicity 2)
Y 0.3173 0.6282 0.2700 (multiplicity 2)
Y 0.3697 0.7989 0.9551 (multiplicity 2)
N 0.0750 0.5987 0.3899 (multiplicity 2)
N 0.1864 0.7811 0.1150 (multiplicity 2)
N 0.2783 0.0149 0.8639 (multiplicity 2)
N 0.3661 0.2112 0.5058 (multiplicity 2)
N 0.4882 0.4150 0.1798 (multiplicity 2)